# 1
Diffraction record for Ba2ZnH6O6. The X-ray diffraction stick pattern is calculated, not measured: it uses a GGA-PBE-relaxed structure and Cu Kα (λ = 1.5418 Å).
No peak broadening, texture or thermal motion is included.

Largest 8 diffraction maxima, in order of rising 2θ, 2θ from 10° to 90°:
| 2θ (°) | I/Imax | index |
| --- | --- | --- |
| 13.68 | 864 | 1 0 -2 |
| 17.54 | 436 | 0 1 1 |
| 18.22 | 1000 | 0 0 2 |
| 25.22 | 523 | 2 1 -1 |
| 26.49 | 468 | 2 1 -3 |
| 35.50 | 699 | 0 2 2 |
| 35.91 | 340 | 3 1 -1 |
| 38.26 | 306 | 4 0 -4 |

Crystal structure
```
data_Ba2ZnH6O6
_chemical_formula_sum 'Ba4 Zn2 H12 O12'
_cell_length_a 9.4523
_cell_length_b 5.9170
_cell_length_c 12.9566
_cell_angle_alpha 90.00
_cell_angle_beta 131.25
_cell_angle_gamma 90.00
_space_group_name_H-M_alt 'P 1 21/c 1'
_space_group_IT_number 14
loop_
_space_group_symop_operation_xyz
'x,y,z'
'-x,-y,-z'
'-x,y+1/2,-z+1/2'
'x,-y+1/2,z+1/2'
loop_
_atom_site_label
_atom_site_fract_x
_atom_site_fract_y
_atom_site_fract_z
_atom_site_occupancy
Ba1 0.2187 0.0131 0.0090 1
Zn1 0.0000 0.0000 0.5000 1
H1 0.4007 0.6418 0.9808 1
H2 0.4190 0.6966 0.9373 1
H3 0.4575 0.7113 0.7661 1
O1 0.0721 0.7217 0.5788 1
O2 0.3241 0.0545 0.5712 1
O3 0.4266 0.1542 0.7112 1
```

---

# 2
Diffraction record for Ba2ZnH6O6. The X-ray diffraction stick pattern is calculated, not measured: it uses a GGA-PBE-relaxed structure and Cu Kα (λ = 1.5418 Å).
No peak broadening, texture or thermal motion is included.

Largest 8 diffraction maxima, in order of rising 2θ, 2θ from 10° to 90°:
| 2θ (°) | I/Imax | index |
| --- | --- | --- |
| 17.29 | 715 | 0 0 2 |
| 21.97 | 318 | 1 1 -1 |
| 24.70 | 1000 | 1 1 1 |
| 31.14 | 888 | 2 0 -2 |
| 31.40 | 449 | 0 2 0 |
| 34.99 | 514 | 0 0 4 |
| 36.06 | 408 | 0 2 2 |
| 47.70 | 538 | 0 2 4 |

Crystal structure
```
data_Ba2ZnH6O6
_chemical_formula_sum 'Ba4 Zn2 H12 O12'
_cell_length_a 6.0798
_cell_length_b 5.6983
_cell_length_c 10.5656
_cell_angle_alpha 90.00
_cell_angle_beta 103.90
_cell_angle_gamma 90.00
_space_group_name_H-M_alt 'P 1 21/c 1'
_space_group_IT_number 14
loop_
_space_group_symop_operation_xyz
'x,y,z'
'-x,-y,-z'
'-x,y+1/2,-z+1/2'
'x,-y+1/2,z+1/2'
loop_
_atom_site_label
_atom_site_fract_x
_atom_site_fract_y
_atom_site_fract_z
_atom_site_occupancy
Ba1 0.2267 0.0137 0.2505 1
Zn1 0.5000 0.0000 0.0000 1
H1 0.0266 0.7368 0.0036 1
H2 0.1477 0.7395 0.4945 1
H3 0.3566 0.1425 0.5828 1
O1 0.1485 0.5146 0.2529 1
O2 0.3168 0.2373 0.5019 1
O3 0.3950 0.5052 0.2576 1
```

---

# 3
Diffraction record for Ba2H6Os. The X-ray diffraction stick pattern is calculated, not measured: it uses a GGA-PBE-relaxed structure and Cu Kα (λ = 1.5418 Å).
No peak broadening, texture or thermal motion is included.

Largest 8 diffraction maxima, in order of rising 2θ, 2θ from 10° to 90°:
| 2θ (°) | I/Imax | index |
| --- | --- | --- |
| 18.92 | 400 | 1 1 1 |
| 31.14 | 1000 | 2 2 0 |
| 36.69 | 223 | 3 1 1 |
| 44.62 | 192 | 4 0 0 |
| 48.87 | 98 | 3 3 1 |
| 55.41 | 393 | 4 2 2 |
| 64.94 | 125 | 4 4 0 |
| 73.77 | 171 | 6 2 0 |

Crystal structure
```
data_Ba2H6Os
_chemical_formula_sum 'Ba8 H24 Os4'
_cell_length_a 8.1237
_cell_length_b 8.1237
_cell_length_c 8.1237
_cell_angle_alpha 90.00
_cell_angle_beta 90.00
_cell_angle_gamma 90.00
_space_group_name_H-M_alt 'F m -3 m'
_space_group_IT_number 225
_space_group_name_Hall '-F 4 2 3'
loop_
_atom_site_label
_atom_site_fract_x
_atom_site_fract_y
_atom_site_fract_z
_atom_site_occupancy
Ba1 0.2500 0.2500 0.2500 1
H1 0.0000 0.0000 0.2147 1
Os1 0.0000 0.0000 0.0000 1
```

---

# 4
Diffraction record for Ba2H6Pt. The X-ray diffraction stick pattern is calculated, not measured: it uses a GGA-PBE-relaxed structure and Cu Kα (λ = 1.5418 Å).
No peak broadening, texture or thermal motion is included.

Largest 8 diffraction maxima, in order of rising 2θ, 2θ from 10° to 90°:
| 2θ (°) | I/Imax | index |
| --- | --- | --- |
| 12.18 | 166 | 2 0 0 |
| 27.88 | 1000 | 3 1 1 |
| 29.63 | 483 | 0 2 0 |
| 37.45 | 163 | 5 1 1 |
| 42.40 | 189 | 0 2 2 |
| 48.19 | 153 | 6 2 0 |
| 51.51 | 366 | 3 3 1 |
| 57.83 | 93 | 5 3 1 |

Crystal structure
```
data_Ba2H6Pt
_chemical_formula_sum 'Ba8 H24 Pt4'
_cell_length_a 14.5327
_cell_length_b 6.0303
_cell_length_c 6.0292
_cell_angle_alpha 90.00
_cell_angle_beta 90.00
_cell_angle_gamma 90.00
_space_group_name_H-M_alt 'C m c e'
_space_group_IT_number 64
_space_group_name_Hall '-C 2ac 2'
loop_
_atom_site_label
_atom_site_fract_x
_atom_site_fract_y
_atom_site_fract_z
_atom_site_occupancy
Ba1 0.1422 0.0000 0.0000 1
H1 0.0000 0.1989 0.3048 1
H2 0.1149 0.0000 0.5000 1
H3 0.2500 0.2471 0.2500 1
Pt1 0.0000 0.0000 0.5000 1
```

---

# 5
Diffraction record for BaReH7. The X-ray diffraction stick pattern is calculated, not measured: it uses a GGA-PBE-relaxed structure and Cu Kα (λ = 1.5418 Å).
No peak broadening, texture or thermal motion is included.

Largest 8 diffraction maxima, in order of rising 2θ, 2θ from 10° to 90°:
| 2θ (°) | I/Imax | index |
| --- | --- | --- |
| 25.12 | 1000 | 0 2 1 |
| 30.39 | 302 | 1 0 -1 |
| 30.60 | 269 | 1 0 1 |
| 31.00 | 556 | 1 2 0 |
| 34.93 | 208 | 0 0 2 |
| 36.70 | 184 | 0 4 0 |
| 47.25 | 182 | 1 2 -2 |
| 48.37 | 169 | 1 4 -1 |

Crystal structure
```
data_BaReH7
_chemical_formula_sum 'Ba2 Re2 H14'
_cell_length_a 3.5696
_cell_length_b 9.7947
_cell_length_c 5.1375
_cell_angle_alpha 90.00
_cell_angle_beta 90.40
_cell_angle_gamma 90.00
_space_group_name_H-M_alt 'P 1 21/m 1'
_space_group_IT_number 11
loop_
_space_group_symop_operation_xyz
'x,y,z'
'-x,-y,-z'
'-x,y+1/2,-z'
'x,-y+1/2,z'
loop_
_atom_site_label
_atom_site_fract_x
_atom_site_fract_y
_atom_site_fract_z
_atom_site_occupancy
Ba1 0.0000 0.0000 0.0000 1
Re1 0.4480 0.2500 0.4814 1
H1 0.0390 0.1600 0.4825 1
H2 0.4330 0.2500 0.1504 1
H3 0.4921 0.5885 0.6335 1
H4 0.4941 0.1454 0.7501 1
```

---

# 6
Diffraction record for BaReH7. The X-ray diffraction stick pattern is calculated, not measured: it uses a GGA-PBE-relaxed structure and Cu Kα (λ = 1.5418 Å).
No peak broadening, texture or thermal motion is included.

Largest 8 diffraction maxima, in order of rising 2θ, 2θ from 10° to 90°:
| 2θ (°) | I/Imax | index |
| --- | --- | --- |
| 25.53 | 1000 | 0 2 1 |
| 26.55 | 168 | 1 1 0 |
| 26.72 | 197 | 1 0 -1 |
| 28.20 | 261 | 1 1 -1 |
| 30.81 | 495 | 1 2 0 |
| 34.95 | 243 | 1 0 1 |
| 35.94 | 236 | 0 4 0 |
| 36.90 | 199 | 0 0 2 |

Crystal structure
```
data_BaReH7
_chemical_formula_sum 'Ba2 Re2 H14'
_cell_length_a 3.7008
_cell_length_b 9.9949
_cell_length_c 5.0611
_cell_angle_alpha 90.00
_cell_angle_beta 105.61
_cell_angle_gamma 90.00
_space_group_name_H-M_alt 'P 1 21/m 1'
_space_group_IT_number 11
loop_
_space_group_symop_operation_xyz
'x,y,z'
'-x,-y,-z'
'-x,y+1/2,-z'
'x,-y+1/2,z'
loop_
_atom_site_label
_atom_site_fract_x
_atom_site_fract_y
_atom_site_fract_z
_atom_site_occupancy
Ba1 0.0000 0.0000 0.0000 1
Re1 0.3785 0.2500 0.5719 1
H1 0.0845 0.2500 0.2499 1
H2 0.1210 0.7500 0.2957 1
H3 0.3216 0.0787 0.6131 1
H4 0.4320 0.6567 0.6301 1
H5 0.4589 0.2500 0.9249 1
```

---

# 7
Diffraction record for Ba2H6Ru. The X-ray diffraction stick pattern is calculated, not measured: it uses a GGA-PBE-relaxed structure and Cu Kα (λ = 1.5418 Å).
No peak broadening, texture or thermal motion is included.

Largest 8 diffraction maxima, in order of rising 2θ, 2θ from 10° to 90°:
| 2θ (°) | I/Imax | index |
| --- | --- | --- |
| 19.03 | 199 | 1 1 1 |
| 22.01 | 218 | 2 0 0 |
| 31.32 | 1000 | 2 2 0 |
| 36.90 | 102 | 3 1 1 |
| 44.88 | 191 | 4 0 0 |
| 55.74 | 383 | 4 2 2 |
| 65.34 | 122 | 4 4 0 |
| 74.25 | 166 | 6 2 0 |

Crystal structure
```
data_Ba2H6Ru
_chemical_formula_sum 'Ba8 H24 Ru4'
_cell_length_a 8.0786
_cell_length_b 8.0786
_cell_length_c 8.0786
_cell_angle_alpha 90.00
_cell_angle_beta 90.00
_cell_angle_gamma 90.00
_space_group_name_H-M_alt 'F m -3 m'
_space_group_IT_number 225
_space_group_name_Hall '-F 4 2 3'
loop_
_atom_site_label
_atom_site_fract_x
_atom_site_fract_y
_atom_site_fract_z
_atom_site_occupancy
Ba1 0.2500 0.2500 0.2500 1
H1 0.0000 0.0000 0.2147 1
Ru1 0.0000 0.0000 0.0000 1
```

---

# 8
Diffraction record for BaHfNbInO6. The X-ray diffraction stick pattern is calculated, not measured: it uses a GGA-PBE-relaxed structure and Cu Kα (λ = 1.5418 Å).
No peak broadening, texture or thermal motion is included.

Largest 8 diffraction maxima, in order of rising 2θ, 2θ from 10° to 90°:
| 2θ (°) | I/Imax | index |
| --- | --- | --- |
| 18.50 | 54 | 1 1 1 |
| 30.44 | 1000 | 2 2 0 |
| 43.59 | 296 | 4 0 0 |
| 54.09 | 401 | 4 2 2 |
| 63.34 | 183 | 4 4 0 |
| 71.89 | 174 | 6 2 0 |
| 80.04 | 61 | 4 4 4 |
| 87.99 | 213 | 6 4 2 |

Crystal structure
```
data_BaHfNbInO6
_chemical_formula_sum 'Ba4 Hf4 Nb4 In4 O24'
_cell_length_a 8.3056
_cell_length_b 8.3056
_cell_length_c 8.3056
_cell_angle_alpha 90.00
_cell_angle_beta 90.00
_cell_angle_gamma 90.00
_space_group_name_H-M_alt 'F -4 3 m'
_space_group_IT_number 216
_space_group_name_Hall 'F -4 2 3'
loop_
_atom_site_label
_atom_site_fract_x
_atom_site_fract_y
_atom_site_fract_z
_atom_site_occupancy
Ba1 0.0000 0.0000 0.0000 1
Hf1 0.2500 0.2500 0.2500 1
Nb1 0.2500 0.2500 0.7500 1
In1 0.0000 0.0000 0.5000 1
O1 0.0044 0.2500 0.7500 1
```